Simulated powder diffraction line list of ZnSiNO for a wavelength of 1.5418 Å, from a crystal structure in OQMD, relaxed with GGA-PBE.
No peak broadening, texture or thermal motion is included.

Principal peaks in the range 2θ = 10–80°, sorted by position:
| d [Å] | I_rel | index |
| --- | --- | --- |
| 8.008 | 38.4 | 0 1 0 |
| 3.136 | 72.0 | 1 2 0 |
| 2.618 | 100.0 | 1 2 1 |
| 2.379 | 30.3 | 0 0 2 |
| 2.281 | 27.0 | 0 1 2 |
| 2.228 | 47.5 | 2 0 1 |
| 2.146 | 24.6 | 2 1 1 |
| 1.733 | 25.9 | 1 4 1 |

Crystal structure
a b c (Å): 5.042 8.008 4.758
angles (deg): 90.00 90.00 90.00
Space group Pca2_1 (No. 29)
Asymmetric unit:
Zn 0.110 0.090 0.000
Si 0.074 0.595 0.073
N 0.110 0.571 0.712
O 0.060 0.227 0.652